This entry pairs a crystal structure of Li2Ti2Fe3O10 with its computed powder diffractogram. Radiation: CuKα. Structure: DFT lattice parameters and positions (PBE+U).

Largest 8 diffraction maxima, by angle, 5° ≤ 2θ ≤ 70°:
- 2θ 11.83, d = 7.481 Å, rel. 89, hkl 0 0 1
- 2θ 18.03, d = 4.920 Å, rel. 100, hkl 1 0 0
- 2θ 26.92, d = 3.312 Å, rel. 24, hkl 0 1 2
- 2θ 27.42, d = 3.252 Å, rel. 18, hkl 1 0 2
- 2θ 37.76, d = 2.382 Å, rel. 43, hkl 1 1 -2
- 2θ 38.68, d = 2.328 Å, rel. 17, hkl 2 1 2
- 2θ 44.85, d = 2.021 Å, rel. 29, hkl 2 1 3
- 2θ 45.09, d = 2.011 Å, rel. 31, hkl -1 2 1

Atomic structure:
a b c (Å): 5.163 5.195 7.825
angles (deg): 75.89 77.30 75.14
Space group P-1 (No. 2)
Unique sites:
1 Li 0.066 0.297 0.383
2 Ti 0.500 0.368 0.684
3 Fe 0.000 0.500 0.000
4 Fe 0.448 0.806 0.900
5 O 0.198 0.685 0.791
6 O 0.271 0.457 0.506
7 O 0.278 0.184 0.940
8 O 0.289 0.554 0.138
9 O 0.359 0.990 0.314